Entry 1:
Starting from a structure optimized by DFT (GGA-PBE), the powder X-ray diffraction pattern of TmNpNi4 was computed for Cu Kα.
Peak positions follow from Bragg's law for the DFT cell and can differ from measured ones.

Most intense lines, 2θ from 5° to 70°, by angle:
- 20.57°, 4.319 Å, I 15, hkl 1 0 0
- 29.91°, 2.988 Å, I 21, hkl 0 1 2
- 36.02°, 2.493 Å, I 65, hkl 1 1 0
- 38.74°, 2.325 Å, I 76, hkl 1 0 3
- 42.32°, 2.136 Å, I 100, hkl 1 1 2
- 43.31°, 2.089 Å, I 39, hkl 0 2 1
- 66.57°, 1.405 Å, I 32, hkl 2 1 3
- 69.09°, 1.360 Å, I 23, hkl 0 3 2

Atomic structure:
Unit cell a=4.9867 b=4.9867 c=8.2747 alpha=90.00 beta=90.00 gamma=120.00
Space group P-3m1 (No. 164)
Symmetry-distinct sites (fractional):
Tm (0.3333, 0.6667, 0.4260) [2 per cell]
Np (0.3333, 0.6667, 0.0375) [2 per cell]
Ni (0.0000, 0.0000, 0.0000) [1 per cell]
Ni (0.0000, 0.0000, 0.5000) [1 per cell]
Ni (0.1651, 0.3303, 0.7471) [6 per cell]

Entry 2:
Starting from a structure optimized by DFT (GGA-PBE), the powder X-ray diffraction pattern of NpVNi2 was computed for Cu Kα.
Peak positions follow from Bragg's law for the DFT cell and can differ from measured ones.

Most intense lines, 2θ from 5° to 70°, by angle:
- 9.33°, 9.482 Å, I 100, hkl 0 0 3
- 18.72°, 4.741 Å, I 28, hkl 0 0 6
- 28.23°, 3.161 Å, I 27, hkl 0 0 9
- 37.96°, 2.371 Å, I 24, hkl 0 0 12
- 40.07°, 2.251 Å, I 40, hkl 1 0 1
- 40.46°, 2.230 Å, I 50, hkl 0 1 2
- 47.72°, 1.906 Å, I 24, hkl 0 1 8
- 51.69°, 1.768 Å, I 37, hkl 1 0 10

Atomic structure:
Unit cell a=2.6068 b=2.6068 c=28.4471 alpha=90.00 beta=90.00 gamma=120.00
Space group R-3m (No. 166, hexagonal axes)
Symmetry-distinct sites (fractional):
Np (0.0000, 0.0000, 0.0000) [3 per cell]
V (0.0000, 0.0000, 0.5000) [3 per cell]
Ni (0.0000, 0.0000, 0.0952) [6 per cell]

Entry 3:
Starting from a structure optimized by DFT (GGA-PBE), the powder X-ray diffraction pattern of YNpNi10 was computed for Cu Kα.
Peak positions follow from Bragg's law for the DFT cell and can differ from measured ones.

Most intense lines, 2θ from 5° to 70°, by angle:
- 10.50°, 8.427 Å, I 21, hkl 0 0 1
- 30.97°, 2.887 Å, I 52, hkl 1 1 1
- 36.94°, 2.434 Å, I 32, hkl 0 2 0
- 42.91°, 2.108 Å, I 35, hkl 0 0 4
- 43.65°, 2.074 Å, I 100, hkl 1 2 0
- 45.79°, 1.981 Å, I 27, hkl 2 0 0
- 60.23°, 1.537 Å, I 15, hkl 2 2 0
- 64.55°, 1.444 Å, I 20, hkl 2 0 4

Atomic structure:
Unit cell a=3.9629 b=4.8691 c=8.4267 alpha=90.00 beta=90.00 gamma=90.00
Space group Pmmm (No. 47)
Symmetry-distinct sites (fractional):
Y (0.0000, 0.0000, 0.0000) [1 per cell]
Np (0.0000, 0.5000, 0.5000) [1 per cell]
Ni (0.0000, 0.0000, 0.3367) [2 per cell]
Ni (0.0000, 0.5000, 0.1728) [2 per cell]
Ni (0.5000, 0.0000, 0.5000) [1 per cell]
Ni (0.5000, 0.2521, 0.2526) [4 per cell]
Ni (0.5000, 0.5000, 0.0000) [1 per cell]

Entry 4:
Starting from a structure optimized by DFT (GGA-PBE), the powder X-ray diffraction pattern of NpZn2Ni6 was computed for Cu Kα.
Peak positions follow from Bragg's law for the DFT cell and can differ from measured ones.

Most intense lines, 2θ from 5° to 70°, by angle:
- 14.80°, 5.984 Å, I 23, hkl 0 0 2
- 27.72°, 3.218 Å, I 35, hkl 0 1 3
- 31.99°, 2.798 Å, I 45, hkl 1 1 2
- 36.25°, 2.478 Å, I 22, hkl 0 2 2
- 41.17°, 2.193 Å, I 100, hkl 1 2 1
- 41.54°, 2.174 Å, I 48, hkl 1 1 4
- 46.72°, 1.944 Å, I 30, hkl 2 0 0
- 56.39°, 1.632 Å, I 34, hkl 1 2 5

Atomic structure:
Unit cell a=3.8888 b=5.4458 c=11.9680 alpha=90.00 beta=90.00 gamma=90.00
Space group Immm (No. 71)
Symmetry-distinct sites (fractional):
Np (0.0000, 0.0000, 0.0000) [2 per cell]
Zn (0.0000, 0.5000, 0.1246) [4 per cell]
Ni (0.0000, 0.2078, 0.5000) [4 per cell]
Ni (0.0000, 0.2591, 0.3049) [8 per cell]